Structure and simulated powder XRD pattern of UBe2Tl2O6 (a GGA-PBE-relaxed structure; a wavelength of 1.5418 Å).

Structure:
```
data_UBe2Tl2O6
_chemical_formula_sum 'U1 Be2 Tl2 O6'
_space_group_name_H-M_alt 'P 1'
_space_group_IT_number 1
_space_group_name_Hall 'P 1'
_cell_length_a 7.1136
_cell_length_b 7.1136
_cell_length_c 7.1136
_cell_angle_alpha 46.48
_cell_angle_beta 46.48
_cell_angle_gamma 46.48
loop_
_atom_site_label
_atom_site_type_symbol
_atom_site_fract_x
_atom_site_fract_y
_atom_site_fract_z
_atom_site_occupancy
U1 U 0.0000 0.0000 0.0000 1
Be1 Be 0.3979 0.3979 0.3979 1
Be2 Be 0.6021 0.6021 0.6021 1
Tl1 Tl 0.2118 0.2118 0.2118 1
Tl2 Tl 0.7882 0.7882 0.7882 1
O1 O 0.2393 0.2393 0.7172 1
O2 O 0.2393 0.7172 0.2393 1
O3 O 0.2828 0.7607 0.7607 1
O4 O 0.7172 0.2393 0.2393 1
O5 O 0.7607 0.2828 0.7607 1
O6 O 0.7607 0.7607 0.2828 1
```

Peak list (10 most intense, 10° ≤ 2θ ≤ 80°, in order of falling intensity)
d/Å  2θ (°)  intensity
2.994  29.85  100.0
2.807  31.88  76.3
4.710  18.84  69.8
3.397  26.23  56.8
1.654  55.55  33.9
1.687  54.38  31.1
2.164  41.74  28.4
2.048  44.23  27.2
1.714  53.47  18.2
1.769  51.66  16.7